Record 1
Diffraction record for SrF8. The powder diffractogram is theoretical, not measured: it uses a PBE-relaxed structure and λ = 1.5418 Å (Cu Kα).
Neutral-atom scattering factors, no anomalous dispersion.

Top 10 peaks for 2θ from 10° to 90°, sorted by position:
d (Å)	intensity
6.045	31
4.274	100
3.022	34
2.864	42
2.379	73
2.162	22
2.079	29
1.929	20
1.590	21
1.490	16

Atomic structure:
a b c (Å): 6.420 6.420 6.420
angles (deg): 96.51 96.51 140.64
Atoms (fractional coordinates):
Sr 0.000 0.000 0.000
F 0.000 0.417 0.417
F 0.000 0.583 0.583
F 0.368 0.368 0.736
F 0.368 0.632 0.000
F 0.417 0.000 0.417
F 0.583 0.000 0.583
F 0.632 0.368 0.000
F 0.632 0.632 0.264

=====

Record 2
Diffraction record for Rb2TmPa2Te6. The powder diffractogram is theoretical, not measured: it uses a PBE-relaxed structure and λ = 1.5418 Å (Cu Kα).
Neutral-atom scattering factors, no anomalous dispersion.

Top 10 peaks for 2θ from 10° to 90°, sorted by position:
d (Å)	intensity
3.766	8
3.305	100
2.694	24
2.509	37
2.196	35
2.132	13
2.047	15
1.829	19
1.564	7
1.406	10

Atomic structure:
a b c (Å): 7.606 7.606 9.264
angles (deg): 97.94 97.94 119.96
Atoms (fractional coordinates):
Rb 0.167 0.833 0.000
Rb 0.833 0.167 0.000
Tm 0.000 0.000 0.500
Pa 0.333 0.667 0.500
Pa 0.667 0.333 0.500
Te 0.070 0.397 0.700
Te 0.265 0.265 0.301
Te 0.397 0.070 0.700
Te 0.603 0.930 0.300
Te 0.735 0.735 0.699
Te 0.930 0.603 0.300